(1)
Diffraction record for Ba2GdCl7. The powder X-ray diffraction pattern is theoretical, not measured: it uses a cell relaxed with PBE and Cu Kα (weighted mean of Kα1 and Kα2).
Peak positions follow from Bragg's law for the DFT cell and can differ from measured ones.

Principal peaks in the range 2θ from 15° to 90°, most intense first:
21.38 deg, d = 4.156 Å, intensity 100.0
34.25 deg, d = 2.618 Å, intensity 57.6
21.76 deg, d = 4.084 Å, intensity 54.6
35.43 deg, d = 2.534 Å, intensity 52.6
35.71 deg, d = 2.514 Å, intensity 49.8
25.89 deg, d = 3.442 Å, intensity 37.4
37.99 deg, d = 2.369 Å, intensity 34.2
21.28 deg, d = 4.176 Å, intensity 33.4
43.14 deg, d = 2.097 Å, intensity 31.2
22.03 deg, d = 4.035 Å, intensity 30.7

Crystal structure
```
data_Ba2GdCl7
_cell_length_a 6.8834
_cell_length_b 15.6428
_cell_length_c 10.6162
_cell_angle_alpha 90.00
_cell_angle_beta 90.78
_cell_angle_gamma 90.00
_symmetry_space_group_name_H-M 'P 1'
_symmetry_Int_Tables_number 1
_symmetry_space_group_name_Hall 'P 1'
loop_
_atom_site_label
_atom_site_type_symbol
_atom_site_fract_x
_atom_site_fract_y
_atom_site_fract_z
_atom_site_occupancy
Ba1 Ba 0.2335 0.0612 0.3246 1
Ba2 Ba 0.2335 0.4388 0.8246 1
Ba3 Ba 0.2339 0.7205 0.4494 1
Ba4 Ba 0.2339 0.7795 0.9494 1
Ba5 Ba 0.7661 0.2205 0.0506 1
Ba6 Ba 0.7661 0.2795 0.5506 1
Ba7 Ba 0.7665 0.5612 0.1754 1
Ba8 Ba 0.7665 0.9388 0.6754 1
Gd1 Gd 0.2816 0.1269 0.7831 1
Gd2 Gd 0.2816 0.3731 0.2831 1
Gd3 Gd 0.7184 0.6269 0.7169 1
Gd4 Gd 0.7184 0.8731 0.2169 1
Cl1 Cl 0.0102 0.2423 0.3039 1
Cl2 Cl 0.0102 0.2577 0.8039 1
Cl3 Cl 0.0120 0.1047 0.5851 1
Cl4 Cl 0.0120 0.3953 0.0851 1
Cl5 Cl 0.2020 0.5416 0.2893 1
Cl6 Cl 0.2020 0.9584 0.7893 1
Cl7 Cl 0.2126 0.1414 0.0324 1
Cl8 Cl 0.2126 0.3586 0.5324 1
Cl9 Cl 0.3660 0.5702 0.6234 1
Cl10 Cl 0.3660 0.9298 0.1234 1
Cl11 Cl 0.4981 0.6040 0.9285 1
Cl12 Cl 0.4978 0.7270 0.2032 1
Cl13 Cl 0.4978 0.7730 0.7032 1
Cl14 Cl 0.4981 0.8960 0.4285 1
Cl15 Cl 0.5019 0.1040 0.5715 1
Cl16 Cl 0.5022 0.2270 0.2968 1
Cl17 Cl 0.5022 0.2730 0.7968 1
Cl18 Cl 0.5019 0.3960 0.0715 1
Cl19 Cl 0.6340 0.0702 0.8766 1
Cl20 Cl 0.6340 0.4298 0.3766 1
Cl21 Cl 0.7874 0.6414 0.4676 1
Cl22 Cl 0.7874 0.8586 0.9676 1
Cl23 Cl 0.7980 0.0416 0.2107 1
Cl24 Cl 0.7980 0.4584 0.7107 1
Cl25 Cl 0.9880 0.6047 0.9149 1
Cl26 Cl 0.9880 0.8953 0.4149 1
Cl27 Cl 0.9898 0.7423 0.1961 1
Cl28 Cl 0.9898 0.7577 0.6961 1
```

=====

(2)
Diffraction record for Fe13Co3. The powder X-ray diffraction pattern is theoretical, not measured: it uses a cell relaxed with PBE and Cu Kα (weighted mean of Kα1 and Kα2).
Peak positions follow from Bragg's law for the DFT cell and can differ from measured ones.

Principal peaks in the range 2θ from 15° to 90°, most intense first:
45.21 deg, d = 2.006 Å, intensity 100.0
83.49 deg, d = 1.158 Å, intensity 28.6
65.86 deg, d = 1.418 Å, intensity 14.6

Crystal structure
```
data_Fe13Co3
_cell_length_a 5.6728
_cell_length_b 5.6728
_cell_length_c 5.6717
_cell_angle_alpha 90.00
_cell_angle_beta 90.00
_cell_angle_gamma 90.00
_symmetry_space_group_name_H-M 'P 1'
_symmetry_Int_Tables_number 1
_symmetry_space_group_name_Hall 'P 1'
loop_
_atom_site_label
_atom_site_type_symbol
_atom_site_fract_x
_atom_site_fract_y
_atom_site_fract_z
_atom_site_occupancy
Fe1 Fe 0.0000 0.0000 0.0000 1
Fe2 Fe 0.0000 0.5000 0.0000 1
Fe3 Fe 0.0000 0.5000 0.5000 1
Fe4 Fe 0.2502 0.2502 0.2502 1
Fe5 Fe 0.2502 0.2502 0.7498 1
Fe6 Fe 0.2502 0.7498 0.2502 1
Fe7 Fe 0.2502 0.7498 0.7498 1
Fe8 Fe 0.5000 0.0000 0.0000 1
Fe9 Fe 0.5000 0.0000 0.5000 1
Fe10 Fe 0.7498 0.2502 0.2502 1
Fe11 Fe 0.7498 0.2502 0.7498 1
Fe12 Fe 0.7498 0.7498 0.2502 1
Fe13 Fe 0.7498 0.7498 0.7498 1
Co1 Co 0.0000 0.0000 0.5000 1
Co2 Co 0.5000 0.5000 0.0000 1
Co3 Co 0.5000 0.5000 0.5000 1
```

=====

(3)
Diffraction record for Sm2HoCu4Ge4. The powder X-ray diffraction pattern is theoretical, not measured: it uses a cell relaxed with PBE and Cu Kα (weighted mean of Kα1 and Kα2).
Peak positions follow from Bragg's law for the DFT cell and can differ from measured ones.

Principal peaks in the range 2θ from 15° to 90°, most intense first:
35.75 deg, d = 2.512 Å, intensity 100.0
34.84 deg, d = 2.575 Å, intensity 93.5
42.42 deg, d = 2.131 Å, intensity 39.0
34.61 deg, d = 2.592 Å, intensity 28.4
45.29 deg, d = 2.002 Å, intensity 28.2
38.36 deg, d = 2.346 Å, intensity 21.2
63.79 deg, d = 1.459 Å, intensity 19.7
72.09 deg, d = 1.310 Å, intensity 17.3
80.51 deg, d = 1.193 Å, intensity 14.6
55.85 deg, d = 1.646 Å, intensity 14.2

Crystal structure
```
data_Sm2HoCu4Ge4
_cell_length_a 8.0687
_cell_length_b 8.0687
_cell_length_c 8.0687
_cell_angle_alpha 149.37
_cell_angle_beta 131.40
_cell_angle_gamma 58.55
_symmetry_space_group_name_H-M 'P 1'
_symmetry_Int_Tables_number 1
_symmetry_space_group_name_Hall 'P 1'
loop_
_atom_site_label
_atom_site_type_symbol
_atom_site_fract_x
_atom_site_fract_y
_atom_site_fract_z
_atom_site_occupancy
Sm1 Sm 0.1308 0.1308 0.0000 1
Sm2 Sm 0.8692 0.8692 0.0000 1
Ho1 Ho 0.5000 0.0000 0.5000 1
Cu1 Cu 0.1432 0.3315 0.8117 1
Cu2 Cu 0.4802 0.6685 0.8117 1
Cu3 Cu 0.5198 0.3315 0.1883 1
Cu4 Cu 0.8568 0.6685 0.1883 1
Ge1 Ge 0.1943 0.5000 0.6943 1
Ge2 Ge 0.2848 0.7848 0.5000 1
Ge3 Ge 0.7152 0.2152 0.5000 1
Ge4 Ge 0.8057 0.5000 0.3057 1
```

=====

(4)
Diffraction record for MgHgB4. The powder X-ray diffraction pattern is theoretical, not measured: it uses a cell relaxed with PBE and Cu Kα (weighted mean of Kα1 and Kα2).
Peak positions follow from Bragg's law for the DFT cell and can differ from measured ones.

Principal peaks in the range 2θ from 15° to 90°, most intense first:
20.33 deg, d = 4.369 Å, intensity 100.0
40.81 deg, d = 2.211 Å, intensity 67.8
33.27 deg, d = 2.693 Å, intensity 45.7
22.97 deg, d = 3.872 Å, intensity 45.5
30.82 deg, d = 2.901 Å, intensity 39.2
41.33 deg, d = 2.184 Å, intensity 33.8
46.46 deg, d = 1.955 Å, intensity 24.8
38.81 deg, d = 2.320 Å, intensity 21.7
33.88 deg, d = 2.645 Å, intensity 20.9
58.73 deg, d = 1.572 Å, intensity 18.9

Crystal structure
```
data_MgHgB4
_cell_length_a 4.9439
_cell_length_b 4.9439
_cell_length_c 4.9439
_cell_angle_alpha 143.11
_cell_angle_beta 115.30
_cell_angle_gamma 76.87
_symmetry_space_group_name_H-M 'P 1'
_symmetry_Int_Tables_number 1
_symmetry_space_group_name_Hall 'P 1'
loop_
_atom_site_label
_atom_site_type_symbol
_atom_site_fract_x
_atom_site_fract_y
_atom_site_fract_z
_atom_site_occupancy
Mg1 Mg 0.0000 0.0000 0.0000 1
Hg1 Hg 0.5000 0.5000 0.0000 1
B1 B 0.0608 0.7358 0.3249 1
B2 B 0.4109 0.7358 0.6751 1
B3 B 0.5891 0.2642 0.3249 1
B4 B 0.9392 0.2642 0.6751 1
```

=====

(5)
Diffraction record for KTbHg3O4. The powder X-ray diffraction pattern is theoretical, not measured: it uses a cell relaxed with PBE and Cu Kα (weighted mean of Kα1 and Kα2).
Peak positions follow from Bragg's law for the DFT cell and can differ from measured ones.

Principal peaks in the range 2θ from 15° to 90°, most intense first:
43.11 deg, d = 2.098 Å, intensity 100.0
30.11 deg, d = 2.968 Å, intensity 99.5
26.00 deg, d = 3.427 Å, intensity 83.4
33.77 deg, d = 2.654 Å, intensity 49.7
51.03 deg, d = 1.790 Å, intensity 40.8
71.02 deg, d = 1.327 Å, intensity 38.6
79.03 deg, d = 1.212 Å, intensity 32.5
45.87 deg, d = 1.978 Å, intensity 30.2
53.48 deg, d = 1.713 Å, intensity 28.6
64.76 deg, d = 1.440 Å, intensity 16.5

Crystal structure
```
data_KTbHg3O4
_cell_length_a 5.9354
_cell_length_b 5.9354
_cell_length_c 5.9354
_cell_angle_alpha 90.00
_cell_angle_beta 90.00
_cell_angle_gamma 90.00
_symmetry_space_group_name_H-M 'P 1'
_symmetry_Int_Tables_number 1
_symmetry_space_group_name_Hall 'P 1'
loop_
_atom_site_label
_atom_site_type_symbol
_atom_site_fract_x
_atom_site_fract_y
_atom_site_fract_z
_atom_site_occupancy
K1 K 0.0000 0.0000 0.0000 1
Tb1 Tb 0.5000 0.5000 0.5000 1
Hg1 Hg 0.0000 0.5000 0.5000 1
Hg2 Hg 0.5000 0.0000 0.5000 1
Hg3 Hg 0.5000 0.5000 0.0000 1
O1 O 0.2886 0.2886 0.2886 1
O2 O 0.2886 0.7114 0.7114 1
O3 O 0.7114 0.2886 0.7114 1
O4 O 0.7114 0.7114 0.2886 1
```

=====

(6)
Diffraction record for CsSmFeSe3. The powder X-ray diffraction pattern is theoretical, not measured: it uses a cell relaxed with PBE and Cu Kα (weighted mean of Kα1 and Kα2).
Peak positions follow from Bragg's law for the DFT cell and can differ from measured ones.

Principal peaks in the range 2θ from 15° to 90°, most intense first:
28.36 deg, d = 3.147 Å, intensity 100.0
29.33 deg, d = 3.045 Å, intensity 33.2
43.06 deg, d = 2.101 Å, intensity 27.1
27.21 deg, d = 3.277 Å, intensity 27.1
50.08 deg, d = 1.821 Å, intensity 24.5
46.74 deg, d = 1.943 Å, intensity 23.8
40.81 deg, d = 2.211 Å, intensity 21.0
32.50 deg, d = 2.755 Å, intensity 17.8
34.02 deg, d = 2.636 Å, intensity 17.3
33.13 deg, d = 2.704 Å, intensity 15.8

Crystal structure
```
data_CsSmFeSe3
_cell_length_a 9.5345
_cell_length_b 4.2010
_cell_length_c 10.5984
_cell_angle_alpha 90.00
_cell_angle_beta 111.96
_cell_angle_gamma 90.00
_symmetry_space_group_name_H-M 'P 1'
_symmetry_Int_Tables_number 1
_symmetry_space_group_name_Hall 'P 1'
loop_
_atom_site_label
_atom_site_type_symbol
_atom_site_fract_x
_atom_site_fract_y
_atom_site_fract_z
_atom_site_occupancy
Cs1 Cs 0.2329 0.2500 0.2642 1
Cs2 Cs 0.7671 0.7500 0.7358 1
Sm1 Sm 0.3269 0.7500 0.8546 1
Sm2 Sm 0.6731 0.2500 0.1454 1
Fe1 Fe 0.0726 0.2500 0.5880 1
Fe2 Fe 0.9274 0.7500 0.4120 1
Se1 Se 0.1017 0.2500 0.8262 1
Se2 Se 0.2026 0.7500 0.5479 1
Se3 Se 0.4620 0.7500 0.1476 1
Se4 Se 0.5380 0.2500 0.8524 1
Se5 Se 0.7974 0.2500 0.4521 1
Se6 Se 0.8983 0.7500 0.1738 1
```